Na2Hg3S4: computed powder XRD pattern (Cu Kα (λ = 1.5418 Å)), based on the GGA-PBE geometry in OQMD.

Structure:
```
data_Na2Hg3S4
_space_group_name_H-M_alt 'P b c a'
_space_group_IT_number 61
_space_group_name_Hall '-P 2ac 2ab'
_cell_length_a 7.5283
_cell_length_b 14.1585
_cell_length_c 8.3761
_cell_angle_alpha 90.00
_cell_angle_beta 90.00
_cell_angle_gamma 90.00
loop_
_atom_site_label
_atom_site_type_symbol
_atom_site_fract_x
_atom_site_fract_y
_atom_site_fract_z
Na1 Na 0.0653 0.1070 0.1178
Hg1 Hg 0.0000 0.0000 0.5000
Hg2 Hg 0.2303 0.6936 0.7772
S1 S 0.0103 0.7303 0.1031
S2 S 0.2380 0.0169 0.8441
```

Principal peaks in the range 2θ from 15° to 90°, in order of rising 2θ:
| 2theta | intensity | h k l |
| --- | --- | --- |
| 16.39 | 49 | 0 2 1 |
| 17.03 | 58 | 1 1 1 |
| 24.69 | 100 | 0 2 2 |
| 26.82 | 42 | 2 2 0 |
| 27.36 | 39 | 0 4 1 |
| 28.90 | 44 | 2 2 1 |
| 31.97 | 75 | 2 0 2 |
| 36.46 | 38 | 2 4 1 |
| 41.14 | 30 | 0 4 3 |
| 51.59 | 28 | 2 2 4 |

---

PrSm2B2N4: computed powder XRD pattern (Cu Kα (λ = 1.5418 Å)), based on the GGA-PBE geometry in OQMD.

Structure:
```
data_PrSm2B2N4
_space_group_name_H-M_alt 'I m m m'
_space_group_IT_number 71
_space_group_name_Hall '-I 2 2'
_cell_length_a 3.5153
_cell_length_b 6.2407
_cell_length_c 10.6790
_cell_angle_alpha 90.00
_cell_angle_beta 90.00
_cell_angle_gamma 90.00
loop_
_atom_site_label
_atom_site_type_symbol
_atom_site_fract_x
_atom_site_fract_y
_atom_site_fract_z
Pr1 Pr 0.0000 0.0000 0.0000
Sm1 Sm 0.0000 0.5000 0.2016
B1 B 0.0000 0.1422 0.5000
N1 N 0.0000 0.2550 0.3787
```

Principal peaks in the range 2θ from 15° to 90°, in order of rising 2θ:
| 2theta | intensity | h k l |
| --- | --- | --- |
| 26.70 | 17 | 1 0 1 |
| 28.61 | 35 | 0 2 0 |
| 28.88 | 64 | 0 1 3 |
| 33.74 | 100 | 1 1 2 |
| 39.53 | 30 | 1 2 1 |
| 49.97 | 22 | 1 0 5 |
| 50.84 | 15 | 0 3 3 |
| 54.02 | 23 | 1 3 2 |
| 58.59 | 22 | 1 2 5 |
| 60.60 | 16 | 2 1 3 |

---

LaNdGd2Zn12Ge6: computed powder XRD pattern (Cu Kα (λ = 1.5418 Å)), based on the GGA-PBE geometry in OQMD.

Structure:
```
data_LaNdGd2Zn12Ge6
_space_group_name_H-M_alt 'P 1 m 1'
_space_group_IT_number 6
_space_group_name_Hall 'P -2y'
_cell_length_a 7.6551
_cell_length_b 4.0790
_cell_length_c 13.2587
_cell_angle_alpha 90.00
_cell_angle_beta 90.01
_cell_angle_gamma 90.00
loop_
_atom_site_label
_atom_site_type_symbol
_atom_site_fract_x
_atom_site_fract_y
_atom_site_fract_z
La1 La 0.0000 0.0000 0.0000
Nd1 Nd 0.9993 0.0000 0.3356
Gd1 Gd 0.4998 0.0000 0.5011
Gd2 Gd 0.5003 0.0000 0.8322
Zn1 Zn 0.1426 0.5000 0.5248
Zn2 Zn 0.1435 0.5000 0.8091
Zn3 Zn 0.1896 0.0000 0.6675
Zn4 Zn 0.2158 0.5000 0.1678
Zn5 Zn 0.4044 0.0000 0.2626
Zn6 Zn 0.4109 0.0000 0.0708
Zn7 Zn 0.6418 0.5000 0.3117
Zn8 Zn 0.6438 0.5000 0.0236
Zn9 Zn 0.6898 0.0000 0.1696
Zn10 Zn 0.7111 0.5000 0.6663
Zn11 Zn 0.9012 0.0000 0.7604
Zn12 Zn 0.9030 0.0000 0.5723
Ge1 Ge 0.3097 0.5000 0.3618
Ge2 Ge 0.3124 0.5000 0.9730
Ge3 Ge 0.3852 0.5000 0.6667
Ge4 Ge 0.8032 0.5000 0.8573
Ge5 Ge 0.8036 0.5000 0.4758
Ge6 Ge 0.8842 0.5000 0.1688
```

Principal peaks in the range 2θ from 15° to 90°, in order of rising 2θ:
| 2theta | intensity | h k l |
| --- | --- | --- |
| 32.07 | 100 | 2 1 0 |
| 34.88 | 15 | 0 1 4 |
| 35.84 | 23 | 2 0 -4 |
| 40.84 | 32 | 3 0 3 |
| 42.33 | 54 | 3 1 1 |
| 44.42 | 24 | 0 2 0 |
| 49.58 | 13 | 1 0 7 |
| 52.84 | 14 | 4 1 0 |
| 61.91 | 18 | 3 2 3 |
| 68.86 | 21 | 4 1 6 |

---

K2Pr4Cl9O2: computed powder XRD pattern (Cu Kα (λ = 1.5418 Å)), based on the GGA-PBE geometry in OQMD.

Structure:
```
data_K2Pr4Cl9O2
_space_group_name_H-M_alt 'P 1 21/m 1'
_space_group_IT_number 11
_space_group_name_Hall '-P 2yb'
_cell_length_a 8.4373
_cell_length_b 11.4315
_cell_length_c 9.5400
_cell_angle_alpha 90.00
_cell_angle_beta 104.54
_cell_angle_gamma 90.00
loop_
_atom_site_label
_atom_site_type_symbol
_atom_site_fract_x
_atom_site_fract_y
_atom_site_fract_z
K1 K 0.2386 0.0470 0.4444
Pr1 Pr 0.2831 0.0437 0.9543
Pr2 Pr 0.3804 0.7500 0.1613
Pr3 Pr 0.3863 0.7500 0.7844
Cl1 Cl 0.1051 0.5917 0.1259
Cl2 Cl 0.1216 0.5848 0.6958
Cl3 Cl 0.2506 0.2500 0.1355
Cl4 Cl 0.2517 0.2500 0.7541
Cl5 Cl 0.3891 0.7500 0.4749
Cl6 Cl 0.4909 0.5006 0.2780
O1 O 0.4517 0.6216 0.9888
```

Principal peaks in the range 2θ from 15° to 90°, in order of rising 2θ:
| 2theta | intensity | h k l |
| --- | --- | --- |
| 24.79 | 86 | 0 2 2 |
| 25.06 | 68 | 1 2 -2 |
| 25.80 | 55 | 1 3 0 |
| 31.30 | 47 | 0 4 0 |
| 32.13 | 93 | 2 3 0 |
| 32.43 | 88 | 1 2 -3 |
| 33.05 | 68 | 0 2 3 |
| 33.83 | 100 | 3 1 0 |
| 36.40 | 58 | 2 2 2 |
| 37.35 | 49 | 3 2 -2 |

---

LaPrCuSi3: computed powder XRD pattern (Cu Kα (λ = 1.5418 Å)), based on the GGA-PBE geometry in OQMD.

Structure:
```
data_LaPrCuSi3
_space_group_name_H-M_alt 'F m m m'
_space_group_IT_number 69
_space_group_name_Hall '-F 2 2'
_cell_length_a 8.1653
_cell_length_b 8.7202
_cell_length_c 14.1582
_cell_angle_alpha 90.00
_cell_angle_beta 90.00
_cell_angle_gamma 90.00
loop_
_atom_site_label
_atom_site_type_symbol
_atom_site_fract_x
_atom_site_fract_y
_atom_site_fract_z
La1 La 0.2500 0.2500 0.2500
Pr1 Pr 0.0000 0.2430 0.0000
Cu1 Cu 0.0000 0.0000 0.3342
Si1 Si 0.0000 0.0000 0.1684
Si2 Si 0.2454 0.0000 0.4161
```

Principal peaks in the range 2θ from 15° to 90°, in order of rising 2θ:
| 2theta | intensity | h k l |
| --- | --- | --- |
| 20.37 | 6 | 0 2 0 |
| 25.17 | 30 | 2 0 2 |
| 32.60 | 100 | 0 2 4 |
| 41.42 | 13 | 0 4 0 |
| 44.35 | 31 | 4 0 0 |
| 49.09 | 10 | 2 4 2 |
| 56.11 | 21 | 4 2 4 |
| 62.29 | 22 | 4 4 0 |
| 69.98 | 10 | 0 6 4 |
| 74.18 | 18 | 2 2 10 |

---

KHoPdS3: computed powder XRD pattern (Cu Kα (λ = 1.5418 Å)), based on the GGA-PBE geometry in OQMD.

Structure:
```
data_KHoPdS3
_space_group_name_H-M_alt 'P 1 21/m 1'
_space_group_IT_number 11
_space_group_name_Hall '-P 2yb'
_cell_length_a 8.5697
_cell_length_b 4.0300
_cell_length_c 9.3873
_cell_angle_alpha 90.00
_cell_angle_beta 106.92
_cell_angle_gamma 90.00
loop_
_atom_site_label
_atom_site_type_symbol
_atom_site_fract_x
_atom_site_fract_y
_atom_site_fract_z
K1 K 0.1996 0.2500 0.2259
Ho1 Ho 0.3305 0.7500 0.8563
Pd1 Pd 0.0950 0.2500 0.5830
S1 S 0.1126 0.2500 0.8520
S2 S 0.2120 0.7500 0.5411
S3 S 0.4552 0.7500 0.1538
```

Principal peaks in the range 2θ from 15° to 90°, in order of rising 2θ:
| 2theta | intensity | h k l |
| --- | --- | --- |
| 24.78 | 48 | 2 0 -2 |
| 27.75 | 49 | 1 1 1 |
| 29.82 | 83 | 0 0 3 |
| 30.67 | 48 | 2 1 -1 |
| 31.12 | 100 | 2 1 0 |
| 36.42 | 47 | 1 1 -3 |
| 38.64 | 37 | 3 1 -1 |
| 44.99 | 33 | 0 2 0 |
| 45.94 | 43 | 2 1 -4 |
| 48.17 | 30 | 2 1 3 |

---

SnPd8: computed powder XRD pattern (Cu Kα (λ = 1.5418 Å)), based on the GGA-PBE geometry in OQMD.

Structure:
```
data_SnPd8
_space_group_name_H-M_alt 'C 1 2/m 1'
_space_group_IT_number 12
_space_group_name_Hall '-C 2y'
_cell_length_a 8.7049
_cell_length_b 3.8998
_cell_length_c 28.2738
_cell_angle_alpha 90.00
_cell_angle_beta 90.19
_cell_angle_gamma 90.00
loop_
_atom_site_label
_atom_site_type_symbol
_atom_site_fract_x
_atom_site_fract_y
_atom_site_fract_z
Sn1 Sn 0.0542 0.0000 0.2333
Pd1 Pd 0.0468 0.5000 0.3891
Pd2 Pd 0.0491 0.5000 0.7073
Pd3 Pd 0.0535 0.0000 0.5474
Pd4 Pd 0.1481 0.5000 0.4839
Pd5 Pd 0.1515 0.0000 0.3260
Pd6 Pd 0.1526 0.0000 0.6426
Pd7 Pd 0.2466 0.0000 0.4215
Pd8 Pd 0.2474 0.0000 0.7416
```

Principal peaks in the range 2θ from 15° to 90°, in order of rising 2θ:
| 2theta | intensity | h k l |
| --- | --- | --- |
| 38.24 | 84 | 1 1 9 |
| 39.20 | 17 | 3 1 -2 |
| 39.86 | 94 | 3 1 -3 |
| 40.78 | 100 | 1 1 10 |
| 43.62 | 24 | 2 0 -12 |
| 46.00 | 28 | 4 0 6 |
| 46.60 | 55 | 0 2 0 |
| 46.70 | 17 | 0 2 1 |
| 47.53 | 17 | 4 0 7 |
| 67.52 | 26 | 6 0 -6 |

---

Rb3TmAs2: computed powder XRD pattern (Cu Kα (λ = 1.5418 Å)), based on the GGA-PBE geometry in OQMD.

Structure:
```
data_Rb3TmAs2
_space_group_name_H-M_alt 'C 1 2/c 1'
_space_group_IT_number 15
_space_group_name_Hall '-C 2yc'
_cell_length_a 11.6075
_cell_length_b 11.2600
_cell_length_c 8.4710
_cell_angle_alpha 90.00
_cell_angle_beta 97.35
_cell_angle_gamma 90.00
loop_
_atom_site_label
_atom_site_type_symbol
_atom_site_fract_x
_atom_site_fract_y
_atom_site_fract_z
Rb1 Rb 0.0000 0.1866 0.2500
Rb2 Rb 0.2074 0.4574 0.9808
Tm1 Tm 0.0000 0.1961 0.7500
As1 As 0.1870 0.2445 0.6106
```

Principal peaks in the range 2θ from 15° to 90°, in order of rising 2θ:
| 2theta | intensity | h k l |
| --- | --- | --- |
| 15.74 | 57 | 0 2 0 |
| 15.91 | 96 | 1 1 1 |
| 22.09 | 59 | 2 2 0 |
| 24.55 | 100 | 2 0 -2 |
| 24.95 | 67 | 1 3 0 |
| 26.47 | 81 | 0 2 2 |
| 27.54 | 79 | 1 3 1 |
| 27.85 | 97 | 2 0 2 |
| 39.03 | 60 | 4 2 -2 |
| 46.96 | 56 | 2 2 -4 |